For GaN, a structure optimized by DFT (GGA-PBE) gives the computed powder diffraction line list in this record (Cu Ka).
Kinematic intensities with the Lorentz-polarization factor, no thermal factor.

Atomic structure:
Lattice parameters (Å, degrees): 4.270 4.270 4.270 90.00 90.00 90.00
Space group Fm-3m (No. 225)
One atom of each set of equivalent atoms:
Ga1 0.000 0.000 0.000 [4 per cell]
N1 0.000 0.000 0.500 [4 per cell]

Main lines, by intensity (10° ≤ 2θ ≤ 90°):
42.3 deg, rel. 100.0
36.4 deg, rel. 99.7
61.4 deg, rel. 60.9
73.6 deg, rel. 40.5
77.4 deg, rel. 19.7